Ac12Sn5Os2: computed powder diffractogram (copper Kα), based on a PBE-relaxed structure.
Lines closer than 0.1° are merged.

Crystal structure
a b c (Å): 18.7687 8.3788 10.5709
angles (deg): 90.00 106.42 90.00
Space group C2/m (No. 12)
Symmetry-distinct sites (fractional):
Ac  0.0022  0.0000  0.2240 (multiplicity 4)
Ac  0.0026  0.5000  0.8230 (multiplicity 4)
Ac  0.1479  0.2517  0.5718 (multiplicity 8)
Ac  0.1606  0.2364  0.0816 (multiplicity 8)
Sn  0.0000  0.5000  0.5000 (multiplicity 2)
Sn  0.1902  0.0000  0.8334 (multiplicity 4)
Sn  0.1992  0.0000  0.3616 (multiplicity 4)
Os  0.0000  0.2224  0.0000 (multiplicity 4)

Peak list (6 most intense, 2θ from 10° to 90°, by angle)
| 2θ/deg | I/Imax | index |
| --- | --- | --- |
| 22.4 | 40.7 | 4 0 -2 |
| 27.6 | 100.0 | 0 2 2 |
| 29.1 | 40.1 | 4 2 0 |
| 29.8 | 45.7 | 6 0 0 |
| 33.9 | 29.2 | 2 0 -4 |
| 44.8 | 28.8 | 8 2 -2 |

---

Ac8Sn3Os: computed powder diffractogram (copper Kα), based on a PBE-relaxed structure.
Lines closer than 0.1° are merged.

Crystal structure
a b c (Å): 7.8350 7.8350 15.6237
angles (deg): 90.00 90.00 90.00
Space group I4/mmm (No. 139)
Symmetry-distinct sites (fractional):
Ac  0.2357  0.2357  0.1182 (multiplicity 16)
Sn  0.0000  0.0000  0.5000 (multiplicity 2)
Sn  0.0000  0.5000  0.2500 (multiplicity 4)
Os  0.0000  0.0000  0.0000 (multiplicity 2)

Peak list (6 most intense, 2θ from 10° to 90°, by angle)
| 2θ/deg | I/Imax | index |
| --- | --- | --- |
| 19.6 | 13.6 | 1 1 2 |
| 22.7 | 32.9 | 0 0 4 |
| 32.4 | 100.0 | 2 0 4 |
| 46.4 | 11.9 | 4 0 0 |
| 57.7 | 36.3 | 2 2 8 |
| 77.0 | 9.6 | 6 0 4 |

---

Sr2Ac6Os: computed powder diffractogram (copper Kα), based on a PBE-relaxed structure.
Lines closer than 0.1° are merged.

Crystal structure
a b c (Å): 7.8183 16.0610 6.3286
angles (deg): 90.00 90.00 90.00
Space group Cmmm (No. 65)
Symmetry-distinct sites (fractional):
Sr  0.0000  0.2505  0.0000 (multiplicity 4)
Ac  0.2308  0.0000  0.0000 (multiplicity 4)
Ac  0.2453  0.3718  0.5000 (multiplicity 8)
Os  0.0000  0.0000  0.5000 (multiplicity 2)

Peak list (6 most intense, 2θ from 10° to 90°, by angle)
| 2θ/deg | I/Imax | index |
| --- | --- | --- |
| 22.7 | 36.5 | 2 0 0 |
| 26.3 | 100.0 | 0 4 1 |
| 28.2 | 69.5 | 0 0 2 |
| 29.1 | 62.1 | 2 2 1 |
| 35.0 | 96.6 | 2 4 1 |
| 54.1 | 49.1 | 0 8 2 |

---

Ac2Th3Os2: computed powder diffractogram (copper Kα), based on a PBE-relaxed structure.
Lines closer than 0.1° are merged.

Crystal structure
a b c (Å): 12.7414 4.0542 9.2029
angles (deg): 90.00 117.15 90.00
Space group C2/m (No. 12)
Symmetry-distinct sites (fractional):
Ac  0.1591  0.0000  0.3021 (multiplicity 4)
Th  0.0000  0.5000  0.5000 (multiplicity 2)
Th  0.1232  0.5000  0.9397 (multiplicity 4)
Os  0.1478  0.0000  0.7441 (multiplicity 4)

Peak list (6 most intense, 2θ from 10° to 90°, by angle)
| 2θ/deg | I/Imax | index |
| --- | --- | --- |
| 29.4 | 93.1 | 1 1 -2 |
| 30.5 | 58.6 | 3 1 -1 |
| 32.3 | 100.0 | 2 0 2 |
| 32.5 | 78.0 | 3 1 -2 |
| 34.5 | 64.9 | 1 1 2 |
| 55.4 | 48.0 | 7 1 -2 |

---

AcTh2Os: computed powder diffractogram (copper Kα), based on a PBE-relaxed structure.
Lines closer than 0.1° are merged.

Crystal structure
a b c (Å): 4.1485 4.1485 27.9254
angles (deg): 90.00 90.00 120.00
Space group R3m (No. 160, hexagonal axes)
Symmetry-distinct sites (fractional):
Ac  0.0000  0.0000  0.0000 (multiplicity 3)
Th  0.0000  0.0000  0.5522 (multiplicity 3)
Th  0.0000  0.0000  0.7773 (multiplicity 3)
Os  0.0000  0.0000  0.1641 (multiplicity 3)

Peak list (6 most intense, 2θ from 10° to 90°, by angle)
| 2θ/deg | I/Imax | index |
| --- | --- | --- |
| 27.9 | 35.4 | 1 0 4 |
| 29.6 | 100.0 | 0 1 5 |
| 35.9 | 29.1 | 0 1 8 |
| 43.6 | 55.7 | 1 1 0 |
| 49.4 | 29.0 | 1 0 13 |
| 53.6 | 19.7 | 2 0 5 |

---

Ac7Tl2Os: computed powder diffractogram (copper Kα), based on a PBE-relaxed structure.
Lines closer than 0.1° are merged.

Crystal structure
a b c (Å): 16.5789 9.8959 11.3309
angles (deg): 90.00 125.58 90.00
Space group C2/c (No. 15)
Symmetry-distinct sites (fractional):
Ac  0.0000  0.0485  0.2500 (multiplicity 4)
Ac  0.0808  0.3337  0.0985 (multiplicity 8)
Ac  0.1444  0.2906  0.8009 (multiplicity 8)
Ac  0.1866  0.3859  0.5041 (multiplicity 8)
Tl  0.1630  0.0223  0.6201 (multiplicity 8)
Os  0.0000  0.4991  0.7500 (multiplicity 4)

Peak list (6 most intense, 2θ from 10° to 90°, by angle)
| 2θ/deg | I/Imax | index |
| --- | --- | --- |
| 27.3 | 45.0 | 1 1 -3 |
| 27.8 | 31.1 | 1 3 0 |
| 28.2 | 74.1 | 3 1 1 |
| 28.4 | 100.0 | 4 2 -2 |
| 30.0 | 62.5 | 2 2 -3 |
| 34.4 | 36.3 | 2 2 2 |